(1)
This entry pairs a crystal structure of HfV2Au with its theoretical powder diffraction line list. Radiation: Cu Kα X-rays. Structure: a cell relaxed with PBE.

Crystal structure
a b c (Å): 4.5133 4.5133 4.5133
angles (deg): 60.00 60.00 60.00
Fractional coordinates of all 4 atoms:
Hf 0.0000 0.0000 0.0000
V 0.2500 0.2500 0.2500
V 0.7500 0.7500 0.7500
Au 0.5000 0.5000 0.5000

Most intense lines, 2θ = 15–90°, most intense first:
| d_spacing | Rel. int. |
| --- | --- |
| 2.257 | 100 |
| 3.191 | 42 |
| 1.303 | 34 |
| 1.427 | 17 |
| 1.596 | 17 |
| 1.843 | 13 |
| 1.128 | 11 |

(2)
This entry pairs a crystal structure of Hf3Zn3Au2 with its theoretical powder diffraction line list. Radiation: Cu Kα X-rays. Structure: a cell relaxed with PBE.

Crystal structure
a b c (Å): 5.5695 5.5695 13.3745
angles (deg): 90.00 90.00 135.11
Fractional coordinates of all 16 atoms:
Hf 0.0686 0.9314 0.6112
Hf 0.0686 0.9314 0.8888
Hf 0.3242 0.6758 0.7500
Hf 0.6758 0.3242 0.2500
Hf 0.9314 0.0686 0.1112
Hf 0.9314 0.0686 0.3888
Zn 0.3943 0.6057 0.5414
Zn 0.3943 0.6057 0.9586
Zn 0.3963 0.6037 0.2500
Zn 0.6037 0.3963 0.7500
Zn 0.6057 0.3943 0.0414
Zn 0.6057 0.3943 0.4586
Au 0.2176 0.7824 0.1065
Au 0.2176 0.7824 0.3935
Au 0.7824 0.2176 0.6065
Au 0.7824 0.2176 0.8935

Most intense lines, 2θ = 15–90°, most intense first:
| d_spacing | Rel. int. |
| --- | --- |
| 2.291 | 100 |
| 2.547 | 71 |
| 2.127 | 43 |
| 2.527 | 38 |
| 2.619 | 31 |
| 2.948 | 25 |
| 2.229 | 25 |
| 1.244 | 21 |
| 1.627 | 20 |
| 1.534 | 19 |

(3)
This entry pairs a crystal structure of HfZn5Au4 with its theoretical powder diffraction line list. Radiation: Cu Kα X-rays. Structure: a cell relaxed with PBE.

Crystal structure
a b c (Å): 3.1778 3.1778 16.4431
angles (deg): 90.00 90.00 90.00
Fractional coordinates of all 10 atoms:
Hf 0.0000 0.0000 0.0000
Zn 0.5000 0.5000 0.1119
Zn 0.5000 0.5000 0.3054
Zn 0.5000 0.5000 0.5000
Zn 0.5000 0.5000 0.6946
Zn 0.5000 0.5000 0.8881
Au 0.0000 0.0000 0.2068
Au 0.0000 0.0000 0.4019
Au 0.0000 0.0000 0.5981
Au 0.0000 0.0000 0.7932

Most intense lines, 2θ = 15–90°, most intense first:
| d_spacing | Rel. int. |
| --- | --- |
| 2.285 | 100 |
| 2.247 | 49 |
| 1.305 | 33 |
| 3.178 | 26 |
| 1.589 | 17 |
| 1.327 | 16 |
| 3.289 | 14 |
| 1.855 | 12 |
| 1.143 | 10 |
| 1.644 | 8 |

(4)
This entry pairs a crystal structure of HfZn2Au6 with its theoretical powder diffraction line list. Radiation: Cu Kα X-rays. Structure: a cell relaxed with PBE.

Crystal structure
a b c (Å): 5.8991 5.8991 7.5265
angles (deg): 122.21 122.21 50.11
Fractional coordinates of all 9 atoms:
Hf 0.0000 0.0000 0.0000
Zn 0.2362 0.2362 0.8911
Zn 0.7638 0.7638 0.1089
Au 0.0972 0.0972 0.4338
Au 0.3200 0.3200 0.3045
Au 0.4375 0.4375 0.7719
Au 0.5625 0.5625 0.2281
Au 0.6800 0.6800 0.6955
Au 0.9028 0.9028 0.5662

Most intense lines, 2θ = 15–90°, most intense first:
| d_spacing | Rel. int. |
| --- | --- |
| 2.224 | 100 |
| 2.202 | 93 |
| 2.498 | 76 |
| 2.567 | 74 |
| 1.790 | 51 |
| 1.412 | 23 |
| 1.383 | 22 |
| 1.378 | 21 |
| 1.226 | 19 |
| 1.395 | 19 |

(5)
This entry pairs a crystal structure of HfZnAu with its theoretical powder diffraction line list. Radiation: Cu Kα X-rays. Structure: a cell relaxed with PBE.

Crystal structure
a b c (Å): 4.5141 4.5141 3.0322
angles (deg): 90.00 90.00 120.00
Fractional coordinates of all 3 atoms:
Hf 0.0000 0.0000 0.0000
Zn 0.3333 0.6667 0.5000
Au 0.6667 0.3333 0.5000

Most intense lines, 2θ = 15–90°, most intense first:
| d_spacing | Rel. int. |
| --- | --- |
| 2.396 | 100 |
| 2.257 | 77 |
| 1.643 | 32 |
| 1.328 | 32 |
| 1.259 | 24 |
| 3.909 | 22 |
| 1.303 | 13 |
| 1.129 | 9 |
| 1.516 | 7 |
| 1.955 | 4 |

(6)
This entry pairs a crystal structure of HgAu5 with its theoretical powder diffraction line list. Radiation: Cu Kα X-rays. Structure: a cell relaxed with PBE.

Crystal structure
a b c (Å): 5.0566 5.0566 9.2207
angles (deg): 90.00 90.00 107.89
Fractional coordinates of all 12 atoms:
Hg 0.2500 0.7500 0.8315
Hg 0.7500 0.2500 0.1685
Au 0.2500 0.2500 0.0000
Au 0.2500 0.2500 0.3371
Au 0.2500 0.2500 0.6629
Au 0.2500 0.7500 0.1714
Au 0.2500 0.7500 0.4969
Au 0.7500 0.2500 0.5031
Au 0.7500 0.2500 0.8286
Au 0.7500 0.7500 0.0000
Au 0.7500 0.7500 0.3371
Au 0.7500 0.7500 0.6629

Most intense lines, 2θ = 15–90°, most intense first:
| d_spacing | Rel. int. |
| --- | --- |
| 2.457 | 100 |
| 2.406 | 95 |
| 2.138 | 67 |
| 1.477 | 42 |
| 2.044 | 30 |
| 1.295 | 27 |
| 1.273 | 26 |
| 1.246 | 12 |
| 1.239 | 12 |
| 1.537 | 12 |